The following is a simulated X-ray diffraction stick pattern of Sc2Ni21B6. It was derived from a structure optimized by DFT (GGA-PBE), using Cu Kα X-rays.
Lines closer than 0.1° are merged.

Structure:
Cell lengths 10.588, 10.588, 10.588 Å; angles 90.00, 90.00, 90.00 degrees
Space group Fm-3m (No. 225)
Inequivalent atoms, fractional coordinates:
Sc: 0.250 0.250 0.250
Ni: 0.000 0.000 0.000
Ni: 0.000 0.169 0.169
Ni: 0.114 0.114 0.386
B: 0.000 0.000 0.271

Peak list (6 most intense, 15 to 90 degrees two-theta, low angle first)
2θ/deg	d [Å]	Rel. int.	index
38.01	2.367	20	4 2 0
41.80	2.161	22	4 2 2
44.46	2.038	100	3 3 3
48.65	1.872	16	4 4 0
51.03	1.790	26	5 3 1
76.32	1.248	20	6 6 0

The following is a simulated X-ray diffraction stick pattern of SiNiB4. It was derived from a structure optimized by DFT (GGA-PBE), using Cu Kα X-rays.
Lines closer than 0.1° are merged.

Structure:
Cell lengths 2.972, 5.230, 6.303 Å; angles 90.00, 90.00, 90.00 degrees
Space group Immm (No. 71)
Inequivalent atoms, fractional coordinates:
Si: 0.000 0.000 0.000
Ni: 0.000 0.000 0.500
B: 0.000 0.333 0.247

Peak list (6 most intense, 15 to 90 degrees two-theta, low angle first)
2θ/deg	d [Å]	Rel. int.	index
22.09	4.025	39	0 1 1
28.32	3.151	28	0 0 2
34.29	2.615	29	0 2 0
34.72	2.584	57	1 1 0
45.05	2.012	51	0 2 2
45.39	1.998	100	1 1 2

The following is a simulated X-ray diffraction stick pattern of SmNi12B6. It was derived from a structure optimized by DFT (GGA-PBE), using Cu Kα X-rays.
Lines closer than 0.1° are merged.

Structure:
Cell lengths 9.582, 7.394, 11.031 Å; angles 90.00, 90.00, 90.00 degrees
Space group Cmc2_1 (No. 36)
Inequivalent atoms, fractional coordinates:
Sm: 0.000 0.166 0.000
Ni: 0.000 0.220 0.399
Ni: 0.000 0.434 0.579
Ni: 0.131 0.326 0.763
Ni: 0.131 0.343 0.222
Ni: 0.132 0.014 0.241
Ni: 0.183 0.188 0.560
Ni: 0.194 0.466 0.430
B: 0.000 0.165 0.660
B: 0.000 0.488 0.342
B: 0.206 0.195 0.375
B: 0.215 0.460 0.612

Peak list (6 most intense, 15 to 90 degrees two-theta, low angle first)
2θ/deg	d [Å]	Rel. int.	index
31.60	2.831	57	2 2 1
34.67	2.587	49	2 2 2
39.32	2.292	65	3 1 3
41.08	2.197	74	4 0 2
41.21	2.191	100	1 3 2
43.86	2.064	41	1 1 5

The following is a simulated X-ray diffraction stick pattern of SmTmNi8B2. It was derived from a structure optimized by DFT (GGA-PBE), using Cu Kα X-rays.
Lines closer than 0.1° are merged.

Structure:
Cell lengths 5.0052, 5.0052, 6.9786 Å; angles 90.00, 90.00, 120.00 degrees
Space group P6/mmm (No. 191)
Inequivalent atoms, fractional coordinates:
Sm: 0.0000 0.0000 0.0000
Tm: 0.0000 0.0000 0.5000
Ni: 0.0000 0.5000 0.2095
Ni: 0.3333 0.6667 0.5000
B: 0.3333 0.6667 0.0000

Peak list (6 most intense, 15 to 90 degrees two-theta, low angle first)
2θ/deg	d [Å]	Rel. int.	index
32.95	2.718	90	1 0 2
35.88	2.503	31	1 1 0
41.67	2.167	74	2 0 0
44.55	2.034	100	1 1 2
62.64	1.483	28	2 1 2
70.55	1.335	24	3 0 2

The following is a simulated X-ray diffraction stick pattern of Ta2NiB. It was derived from a structure optimized by DFT (GGA-PBE), using Cu Kα X-rays.
Lines closer than 0.1° are merged.

Structure:
Cell lengths 3.1587, 3.1587, 12.9034 Å; angles 90.00, 90.00, 120.00 degrees
Space group P6_3/mmc (No. 194)
Inequivalent atoms, fractional coordinates:
Ta: 0.3333 0.6667 0.1021
Ni: 0.3333 0.6667 0.7500
B: 0.0000 0.0000 0.0000

Peak list (6 most intense, 15 to 90 degrees two-theta, low angle first)
2θ/deg	d [Å]	Rel. int.	index
27.65	3.226	17	0 0 4
32.74	2.735	28	1 0 0
33.49	2.676	21	1 0 1
39.02	2.308	100	1 0 3
58.44	1.579	24	1 1 0
72.52	1.303	16	2 0 3

The following is a simulated X-ray diffraction stick pattern of TbNiB4. It was derived from a structure optimized by DFT (GGA-PBE), using Cu Kα X-rays.
Lines closer than 0.1° are merged.

Structure:
Cell lengths 7.545, 7.545, 8.525 Å; angles 90.00, 90.00, 90.00 degrees
Space group I4/mmm (No. 139)
Inequivalent atoms, fractional coordinates:
Tb: 0.000 0.000 0.203
Tb: 0.000 0.500 0.250
Ni: 0.000 0.229 0.500
B: 0.112 0.276 0.000
B: 0.234 0.234 0.347

Peak list (6 most intense, 15 to 90 degrees two-theta, low angle first)
2θ/deg	d [Å]	Rel. int.	index
23.58	3.772	75	2 0 0
31.67	2.825	84	2 0 2
33.70	2.659	29	1 0 3
39.87	2.261	100	2 2 2
48.27	1.886	42	4 0 0
58.87	1.569	26	4 2 2

The following is a simulated X-ray diffraction stick pattern of Tm3Ni7B2. It was derived from a structure optimized by DFT (GGA-PBE), using Cu Kα X-rays.
Lines closer than 0.1° are merged.

Structure:
Cell lengths 5.0402, 5.0402, 14.2865 Å; angles 90.00, 90.00, 120.00 degrees
Space group P6_3/mmc (No. 194)
Inequivalent atoms, fractional coordinates:
Tm: 0.3333 0.6667 0.0327
Tm: 0.3333 0.6667 0.2500
Ni: 0.0000 0.0000 0.0000
Ni: 0.1657 0.3314 0.6483
B: 0.0000 0.0000 0.2500
B: 0.3333 0.6667 0.7500

Peak list (6 most intense, 15 to 90 degrees two-theta, low angle first)
2θ/deg	d [Å]	Rel. int.	index
35.63	2.520	48	1 1 0
37.63	2.391	100	1 0 5
41.87	2.157	65	2 0 1
43.97	2.059	88	1 1 4
65.31	1.429	46	0 0 10
73.82	1.284	29	2 0 9

The following is a simulated X-ray diffraction stick pattern of YTmNi8B2. It was derived from a structure optimized by DFT (GGA-PBE), using Cu Kα X-rays.
Lines closer than 0.1° are merged.

Structure:
Cell lengths 4.9769, 4.9769, 6.9524 Å; angles 90.00, 90.00, 120.00 degrees
Space group P6/mmm (No. 191)
Inequivalent atoms, fractional coordinates:
Y: 0.0000 0.0000 0.0000
Tm: 0.0000 0.0000 0.5000
Ni: 0.0000 0.5000 0.2927
Ni: 0.3333 0.6667 0.0000
B: 0.3333 0.6667 0.5000

Peak list (6 most intense, 15 to 90 degrees two-theta, low angle first)
2θ/deg	d [Å]	Rel. int.	index
33.11	2.706	78	1 0 2
36.09	2.488	26	1 1 0
41.92	2.155	76	2 0 0
44.79	2.023	100	1 1 2
63.02	1.475	24	2 1 2
70.99	1.328	24	3 0 2